This entry pairs a crystal structure of Ti2Ni3Te3O16 with its computed XRD peak list. Radiation: CuKα. Structure: a crystal structure in Alexandria, relaxed with GGA+U.

Largest 10 diffraction maxima, in order of rising 2θ, 2θ from 10° to 80°:
Position (°2θ)	I_rel
18.98	100
19.25	28
19.50	21
35.34	23
35.49	22
35.63	21
39.07	16
44.78	17
45.51	24
61.27	19

Unit cell a=10.6127 b=6.0502 c=9.3556 alpha=90.00 beta=91.72 gamma=90.00
Space group Cm (No. 8)
Asymmetric unit:
Ti1 0.0000 0.0000 0.0000 [2 per cell]
Ti2 0.1851 0.5000 0.4463 [2 per cell]
Ni1 0.0455 0.5000 0.7489 [2 per cell]
Ni2 0.4427 0.2492 0.2554 [4 per cell]
Te1 0.1904 0.0000 0.2454 [2 per cell]
Te2 0.2939 0.2509 0.7411 [4 per cell]
O1 0.0340 0.5000 0.3711 [2 per cell]
O2 0.0405 0.0000 0.3560 [2 per cell]
O3 0.1019 0.2103 0.1130 [4 per cell]
O4 0.1448 0.2779 0.6238 [4 per cell]
O5 0.2196 0.0000 0.8486 [2 per cell]
O6 0.2225 0.5000 0.8590 [2 per cell]
O7 0.2662 0.2519 0.3596 [4 per cell]
O8 0.3485 0.0000 0.1535 [2 per cell]
O9 0.3599 0.5000 0.6208 [2 per cell]
O10 0.3715 0.0000 0.6330 [2 per cell]
O11 0.3761 0.5000 0.1148 [2 per cell]
O12 0.4485 0.2529 0.8523 [4 per cell]